For ZrCd2H12O6F8, a PBE-relaxed structure gives the theoretical powder X-ray diffraction pattern in this record (Cu Kα, 1.54184 Å).
Kinematic intensities with the Lorentz-polarization factor, no thermal factor.

Main lines, by angle (2θ from 10° to 80°):
2θ = 13.4°, rel. 21, hkl 1 1 0; 2θ = 13.8°, rel. 18, hkl 1 1 -1; 2θ = 14.8°, rel. 100, hkl 0 0 2; 2θ = 22.1°, rel. 16, hkl 1 1 2; 2θ = 22.5°, rel. 29, hkl 0 2 1; 2θ = 25.4°, rel. 38, hkl 3 1 -1; 2θ = 26.3°, rel. 16, hkl 2 2 -1; 2θ = 26.9°, rel. 20, hkl 3 1 0

Atomic structure:
```
data_ZrCd2H12O6F8
_chemical_formula_sum 'Zr4 Cd8 H48 O24 F32'
_cell_length_a 11.6179
_cell_length_b 8.3792
_cell_length_c 12.8306
_cell_angle_alpha 90.00
_cell_angle_beta 111.23
_cell_angle_gamma 90.00
_space_group_name_H-M_alt 'C 1 2/c 1'
_space_group_IT_number 15
_space_group_name_Hall '-C 2yc'
loop_
_atom_site_label
_atom_site_fract_x
_atom_site_fract_y
_atom_site_fract_z
Zr1 0.0000 0.2352 0.2500
Cd1 0.1781 0.1139 0.7113
H1 0.0399 0.3051 0.5331
H2 0.0539 0.4072 0.6422
H3 0.1188 0.2316 0.8893
H4 0.1348 0.0393 0.4802
H5 0.2244 0.4068 0.4520
H6 0.2357 0.3309 0.8965
O1 0.0295 0.3006 0.6066
O2 0.1966 0.2248 0.8747
O3 0.2055 0.0284 0.5525
F1 0.0097 0.0334 0.3575
F2 0.0879 0.3149 0.4194
F3 0.1077 0.4309 0.2266
F4 0.1850 0.1484 0.2857
```

***

For CdOF, a PBE-relaxed structure gives the theoretical powder X-ray diffraction pattern in this record (Cu Kα, 1.54184 Å).
Kinematic intensities with the Lorentz-polarization factor, no thermal factor.

Main lines, by angle (2θ from 10° to 80°):
2θ = 26.9°, rel. 100, hkl 1 1 0; 2θ = 29.0°, rel. 88, hkl 0 1 2; 2θ = 31.0°, rel. 16, hkl 0 2 0; 2θ = 33.1°, rel. 29, hkl 1 0 2; 2θ = 45.9°, rel. 64, hkl 1 2 2; 2θ = 50.1°, rel. 14, hkl 0 0 4; 2θ = 54.2°, rel. 23, hkl 2 1 2; 2θ = 57.8°, rel. 20, hkl 1 1 4

Atomic structure:
```
data_CdOF
_chemical_formula_sum 'Cd4 O4 F4'
_cell_length_a 4.0581
_cell_length_b 5.7744
_cell_length_c 7.2815
_cell_angle_alpha 90.00
_cell_angle_beta 90.00
_cell_angle_gamma 90.00
_space_group_name_H-M_alt 'P 21 21 21'
_space_group_IT_number 19
_space_group_name_Hall 'P 2ac 2ab'
loop_
_atom_site_label
_atom_site_fract_x
_atom_site_fract_y
_atom_site_fract_z
Cd1 0.1928 0.0240 0.3632
O1 0.1497 0.2170 0.0917
F1 0.1711 0.2670 0.6320
```

***

For Cd2PO4F, a PBE-relaxed structure gives the theoretical powder X-ray diffraction pattern in this record (Cu Kα, 1.54184 Å).
Kinematic intensities with the Lorentz-polarization factor, no thermal factor.

Main lines, by angle (2θ from 10° to 80°):
2θ = 23.0°, rel. 92, hkl 3 1 -1; 2θ = 25.5°, rel. 58, hkl 4 0 -2; 2θ = 27.9°, rel. 66, hkl 0 2 1; 2θ = 29.0°, rel. 64, hkl 3 1 -3; 2θ = 30.0°, rel. 100, hkl 2 0 2; 2θ = 32.8°, rel. 36, hkl 0 2 2; 2θ = 40.7°, rel. 34, hkl 1 3 -1; 2θ = 52.7°, rel. 34, hkl 5 3 -3

Atomic structure:
```
data_Cd2PO4F
_chemical_formula_sum 'Cd16 P8 O32 F8'
_cell_length_a 14.1659
_cell_length_b 6.8123
_cell_length_c 10.7333
_cell_angle_alpha 90.00
_cell_angle_beta 121.39
_cell_angle_gamma 90.00
_space_group_name_H-M_alt 'C 1 2/c 1'
_space_group_IT_number 15
_space_group_name_Hall '-C 2yc'
loop_
_atom_site_label
_atom_site_fract_x
_atom_site_fract_y
_atom_site_fract_z
Cd1 0.0526 0.2388 0.4856
Cd2 0.1587 0.4008 0.8470
P1 0.1762 0.0888 0.3055
O1 0.0894 0.0322 0.1450
O2 0.1326 0.2716 0.3482
O3 0.1910 0.0804 0.9118
O4 0.2120 0.3617 0.6818
F1 0.0138 0.4154 0.8911
```

***

For CdPdF4, a PBE-relaxed structure gives the theoretical powder X-ray diffraction pattern in this record (Cu Kα, 1.54184 Å).
Kinematic intensities with the Lorentz-polarization factor, no thermal factor.

Main lines, by angle (2θ from 10° to 80°):
2θ = 27.8°, rel. 100, hkl 1 1 -1; 2θ = 28.2°, rel. 95, hkl 1 1 1; 2θ = 32.3°, rel. 25, hkl 2 0 0; 2θ = 32.5°, rel. 50, hkl 0 2 0; 2θ = 46.5°, rel. 60, hkl 0 2 2; 2θ = 54.9°, rel. 19, hkl 1 1 -3; 2θ = 55.3°, rel. 36, hkl 3 1 1; 2θ = 77.4°, rel. 19, hkl 2 4 0

Atomic structure:
```
data_CdPdF4
_chemical_formula_sum 'Cd2 Pd2 F8'
_cell_length_a 5.5392
_cell_length_b 5.5149
_cell_length_c 5.5176
_cell_angle_alpha 90.00
_cell_angle_beta 91.08
_cell_angle_gamma 90.00
_space_group_name_H-M_alt 'P 1 21/c 1'
_space_group_IT_number 14
_space_group_name_Hall '-P 2ybc'
loop_
_atom_site_label
_atom_site_fract_x
_atom_site_fract_y
_atom_site_fract_z
Cd1 0.0000 0.0000 0.0000
Pd1 0.5000 0.0000 0.5000
F1 0.1668 0.1602 0.3424
F2 0.3390 0.6688 0.3282
```

***

For CdPdF6, a PBE-relaxed structure gives the theoretical powder X-ray diffraction pattern in this record (Cu Kα, 1.54184 Å).
Kinematic intensities with the Lorentz-polarization factor, no thermal factor.

Main lines, by angle (2θ from 10° to 80°):
2θ = 23.0°, rel. 100, hkl 0 1 2; 2θ = 31.4°, rel. 41, hkl 1 0 4; 2θ = 34.1°, rel. 19, hkl 1 1 0; 2θ = 41.5°, rel. 18, hkl 2 0 2; 2θ = 47.0°, rel. 14, hkl 0 2 4; 2θ = 51.1°, rel. 31, hkl 1 1 6; 2θ = 54.7°, rel. 16, hkl 1 2 2; 2θ = 59.3°, rel. 14, hkl 2 1 4

Atomic structure:
```
data_CdPdF6
_chemical_formula_sum 'Cd3 Pd3 F18'
_cell_length_a 5.2649
_cell_length_b 5.2649
_cell_length_c 14.6131
_cell_angle_alpha 90.00
_cell_angle_beta 90.00
_cell_angle_gamma 120.00
_space_group_name_H-M_alt 'R -3'
_space_group_IT_number 148
_space_group_name_Hall '-R 3'
loop_
_atom_site_label
_atom_site_fract_x
_atom_site_fract_y
_atom_site_fract_z
Cd1 0.0000 0.0000 0.0000
Pd1 0.0000 0.0000 0.5000
F1 0.0040 0.3036 0.4221
```